For MgFe2P2O9, a GGA+U-relaxed structure gives the simulated X-ray diffraction stick pattern in this record (Cu Kα X-rays).
No peak broadening, texture or thermal motion is included.

Crystal structure
a = 14.2351 Å, b = 6.3152 Å, c = 7.3818 Å
α = 90.00°, β = 90.00°, γ = 90.00°
Space group Pnma (No. 62)
Symmetry-distinct sites (fractional):
Mg (0.2266, 0.2500, 0.0772) (multiplicity 4)
Fe (0.0000, 0.0000, 0.0000) (multiplicity 4)
Fe (0.1186, 0.2500, 0.6424) (multiplicity 4)
P (0.0733, 0.7500, 0.6363) (multiplicity 4)
P (0.1952, 0.7500, 0.1173) (multiplicity 4)
O (0.0027, 0.2500, 0.5073) (multiplicity 4)
O (0.0247, 0.7500, 0.8251) (multiplicity 4)
O (0.0502, 0.2500, 0.8704) (multiplicity 4)
O (0.1367, 0.5400, 0.1070) (multiplicity 8)
O (0.1423, 0.5622, 0.6236) (multiplicity 8)
O (0.2322, 0.2500, 0.4613) (multiplicity 4)
O (0.2464, 0.2500, 0.7967) (multiplicity 4)

Peak list (12 most intense, 15° ≤ 2θ ≤ 90°, low angle first)
index	2θ (°)	intensity
2 0 1	17.3	55.0
3 0 1	22.3	32.8
0 0 2	24.1	17.3
1 0 2	24.9	100.0
4 0 1	27.8	23.9
0 2 0	28.3	29.4
1 2 1	31.4	58.5
2 2 1	33.3	19.6
5 0 1	33.7	34.2
5 0 2	40.0	33.3
5 2 3	57.5	29.8
0 4 0	58.5	19.5